1.
Structure and simulated X-ray diffraction stick pattern of Ta3Te14Pd3 (a crystal structure in OQMD, relaxed with PBE; a wavelength of 1.5418 Å).

Structural model:
```
data_Ta3Te14Pd3
_chemical_formula_sum 'Ta6 Te28 Pd6'
_cell_length_a 14.627
_cell_length_b 3.784
_cell_length_c 21.112
_cell_angle_alpha 90.00
_cell_angle_beta 105.32
_cell_angle_gamma 90.00
_space_group_name_H-M_alt 'P 1'
_space_group_IT_number 1
_space_group_name_Hall 'P 1'
loop_
_atom_site_label
_atom_site_fract_x
_atom_site_fract_y
_atom_site_fract_z
Ta1 0.054 0.250 0.310
Ta2 0.301 0.750 0.044
Ta3 0.424 0.250 0.655
Ta4 0.576 0.750 0.345
Ta5 0.699 0.250 0.956
Ta6 0.946 0.750 0.690
Te1 0.055 0.750 0.209
Te2 0.056 0.250 0.639
Te3 0.110 0.750 0.954
Te4 0.112 0.250 0.453
Te5 0.141 0.750 0.776
Te6 0.186 0.250 0.090
Te7 0.206 0.750 0.346
Te8 0.276 0.750 0.613
Te9 0.315 0.250 0.946
Te10 0.341 0.750 0.187
Te11 0.381 0.250 0.771
Te12 0.389 0.250 0.512
Te13 0.439 0.250 0.348
Te14 0.451 0.250 0.087
Te15 0.549 0.750 0.913
Te16 0.561 0.750 0.652
Te17 0.611 0.750 0.488
Te18 0.619 0.750 0.229
Te19 0.659 0.250 0.813
Te20 0.685 0.750 0.054
Te21 0.724 0.250 0.387
Te22 0.794 0.250 0.654
Te23 0.814 0.750 0.910
Te24 0.859 0.250 0.224
Te25 0.888 0.750 0.547
Te26 0.890 0.250 0.046
Te27 0.944 0.750 0.361
Te28 0.945 0.250 0.791
Pd1 0.129 0.250 0.865
Pd2 0.251 0.750 0.481
Pd3 0.481 0.250 0.228
Pd4 0.519 0.750 0.772
Pd5 0.749 0.250 0.519
Pd6 0.871 0.750 0.135
```

The 10 most intense peaks (10° ≤ 2θ ≤ 90°), in order of rising 2θ:
6.683 Å, 2θ = 13.2°, I 100.0
2.965 Å, 2θ = 30.1°, I 28.1
2.948 Å, 2θ = 30.3°, I 35.8
2.909 Å, 2θ = 30.7°, I 25.1
2.851 Å, 2θ = 31.4°, I 39.8
2.818 Å, 2θ = 31.8°, I 24.1
2.434 Å, 2θ = 36.9°, I 25.8
2.220 Å, 2θ = 40.6°, I 19.1
2.068 Å, 2θ = 43.8°, I 21.0
1.892 Å, 2θ = 48.1°, I 27.9


2.
Structure and simulated X-ray diffraction stick pattern of Hf4Co4Ge7 (a crystal structure in OQMD, relaxed with PBE; a wavelength of 1.5418 Å).

Structural model:
```
data_Hf4Co4Ge7
_chemical_formula_sum 'Hf8 Co8 Ge14'
_cell_length_a 9.677
_cell_length_b 9.677
_cell_length_c 9.677
_cell_angle_alpha 94.15
_cell_angle_beta 94.15
_cell_angle_gamma 148.79
_space_group_name_H-M_alt 'P 1'
_space_group_IT_number 1
_space_group_name_Hall 'P 1'
loop_
_atom_site_label
_atom_site_fract_x
_atom_site_fract_y
_atom_site_fract_z
Hf1 0.000 0.195 0.195
Hf2 0.000 0.805 0.805
Hf3 0.195 0.000 0.195
Hf4 0.361 0.361 0.722
Hf5 0.361 0.639 0.000
Hf6 0.639 0.361 0.000
Hf7 0.639 0.639 0.278
Hf8 0.805 0.000 0.805
Co1 0.101 0.601 0.202
Co2 0.101 0.899 0.500
Co3 0.399 0.601 0.500
Co4 0.399 0.899 0.798
Co5 0.601 0.101 0.202
Co6 0.601 0.399 0.500
Co7 0.899 0.101 0.500
Co8 0.899 0.399 0.798
Ge1 0.000 0.406 0.406
Ge2 0.000 0.594 0.594
Ge3 0.207 0.207 0.414
Ge4 0.207 0.793 0.000
Ge5 0.208 0.500 0.708
Ge6 0.251 0.251 0.000
Ge7 0.406 0.000 0.406
Ge8 0.500 0.208 0.708
Ge9 0.500 0.792 0.292
Ge10 0.594 0.000 0.594
Ge11 0.749 0.749 0.000
Ge12 0.792 0.500 0.292
Ge13 0.793 0.207 0.000
Ge14 0.793 0.793 0.586
```

The 10 most intense peaks (10° ≤ 2θ ≤ 90°), in order of rising 2θ:
2.992 Å, 2θ = 29.9°, I 10.9
2.724 Å, 2θ = 32.9°, I 8.6
2.603 Å, 2θ = 34.4°, I 18.1
2.352 Å, 2θ = 38.3°, I 100.0
2.330 Å, 2θ = 38.6°, I 15.0
2.208 Å, 2θ = 40.9°, I 38.9
2.197 Å, 2θ = 41.1°, I 20.3
1.450 Å, 2θ = 64.3°, I 21.8
1.441 Å, 2θ = 64.7°, I 11.3
1.224 Å, 2θ = 78.1°, I 8.0


3.
Structure and simulated X-ray diffraction stick pattern of PrSm2Si2Ge2Pd4 (a crystal structure in OQMD, relaxed with PBE; a wavelength of 1.5418 Å).

Structural model:
```
data_PrSm2Si2Ge2Pd4
_chemical_formula_sum 'Pr1 Sm2 Si2 Ge2 Pd4'
_cell_length_a 12.753
_cell_length_b 12.753
_cell_length_c 12.753
_cell_angle_alpha 161.32
_cell_angle_beta 160.48
_cell_angle_gamma 27.15
_space_group_name_H-M_alt 'P 1'
_space_group_IT_number 1
_space_group_name_Hall 'P 1'
loop_
_atom_site_label
_atom_site_fract_x
_atom_site_fract_y
_atom_site_fract_z
Pr1 0.000 0.000 0.000
Sm1 0.351 0.851 0.500
Sm2 0.649 0.149 0.500
Si1 0.198 0.698 0.500
Si2 0.802 0.302 0.500
Ge1 0.449 0.449 0.000
Ge2 0.551 0.551 0.000
Pd1 0.101 0.601 0.500
Pd2 0.249 0.249 0.000
Pd3 0.751 0.751 0.000
Pd4 0.899 0.399 0.500
```

The 10 most intense peaks (10° ≤ 2θ ≤ 90°), in order of rising 2θ:
2.693 Å, 2θ = 33.3°, I 100.0
2.323 Å, 2θ = 38.8°, I 15.9
2.162 Å, 2θ = 41.8°, I 18.2
2.070 Å, 2θ = 43.7°, I 17.3
1.999 Å, 2θ = 45.4°, I 10.8
1.685 Å, 2θ = 54.4°, I 10.9
1.546 Å, 2θ = 59.8°, I 8.9
1.495 Å, 2θ = 62.1°, I 12.1
1.329 Å, 2θ = 70.9°, I 9.0
1.286 Å, 2θ = 73.7°, I 9.8